Ca2TeC: simulated powder diffraction line list (Cu Kα X-rays), based on DFT lattice parameters and positions (GGA-PBE).
Peak positions follow from Bragg's law for the DFT cell and can differ from measured ones.

Top 10 peaks for 5° ≤ 2θ ≤ 70°, low angle first:
h k l, 2θ/deg, d [Å], I_rel
1 0 1, 16.46, 5.385, 53
1 1 2, 28.41, 3.142, 100
2 1 1, 29.31, 3.047, 82
2 2 0, 34.32, 2.613, 43
1 0 3, 36.37, 2.470, 21
3 0 1, 38.29, 2.351, 27
3 1 2, 45.13, 2.009, 46
2 0 4, 52.75, 1.735, 28
3 2 3, 57.04, 1.615, 18
4 3 1, 64.10, 1.453, 14

abc: 7.3906 7.3906 7.8629
angles: 90.00 90.00 90.00
Space group I-42d (No. 122)
Unique sites:
Ca: 0.1780 0.7500 0.1250 x8
Te: 0.0000 0.0000 0.5000 x4
C: 0.0000 0.0000 0.0000 x4



CdC2: simulated powder diffraction line list (Cu Kα X-rays), based on DFT lattice parameters and positions (GGA-PBE).
Peak positions follow from Bragg's law for the DFT cell and can differ from measured ones.

Top 10 peaks for 5° ≤ 2θ ≤ 70°, low angle first:
h k l, 2θ/deg, d [Å], I_rel
0 0 3, 9.91, 8.927, 100
0 0 6, 19.89, 4.463, 56
0 0 9, 30.03, 2.976, 9
0 0 12, 40.39, 2.233, 29
0 1 2, 40.81, 2.211, 14
1 0 4, 42.53, 2.126, 13
0 1 5, 43.78, 2.068, 17
1 0 7, 46.98, 1.934, 13
0 1 8, 48.90, 1.863, 9
0 1 11, 55.74, 1.649, 8

abc: 2.5885 2.5885 26.7803
angles: 90.00 90.00 120.00
Space group R-3m (No. 166, hexagonal axes)
Unique sites:
Cd: 0.0000 0.0000 0.0000 x3
C: 0.0000 0.0000 0.1667 x6



Cd4C23: simulated powder diffraction line list (Cu Kα X-rays), based on DFT lattice parameters and positions (GGA-PBE).
Peak positions follow from Bragg's law for the DFT cell and can differ from measured ones.

Top 10 peaks for 5° ≤ 2θ ≤ 70°, low angle first:
h k l, 2θ/deg, d [Å], I_rel
2 0 0, 23.77, 3.743, 17
2 1 0, 26.63, 3.348, 88
2 1 1, 29.22, 3.056, 100
3 2 0, 43.59, 2.076, 47
3 2 1, 45.33, 2.001, 86
4 0 0, 48.65, 1.871, 37
4 2 0, 54.85, 1.674, 15
4 2 1, 56.32, 1.634, 23
4 3 2, 67.36, 1.390, 24
5 2 1, 68.68, 1.367, 14

abc: 7.4858 7.4858 7.4858
angles: 90.00 90.00 90.00
Space group Pm-3n (No. 223)
Unique sites:
Cd: 0.0000 0.0000 0.0000 x2
Cd: 0.0000 0.2500 0.5000 x6
C: 0.0000 0.2846 0.1942 x24
C: 0.0000 0.5000 0.2500 x6
C: 0.1878 0.1878 0.1878 x16



Cd5C: simulated powder diffraction line list (Cu Kα X-rays), based on DFT lattice parameters and positions (GGA-PBE).
Peak positions follow from Bragg's law for the DFT cell and can differ from measured ones.

Top 10 peaks for 5° ≤ 2θ ≤ 70°, low angle first:
h k l, 2θ/deg, d [Å], I_rel
1 0 4, 28.92, 3.088, 86
0 1 1, 29.90, 2.988, 26
0 1 3, 31.87, 2.808, 21
1 0 6, 33.77, 2.654, 58
0 1 5, 35.51, 2.528, 46
0 0 10, 38.77, 2.322, 43
1 1 3, 40.55, 2.225, 100
0 1 9, 46.33, 1.960, 25
2 0 0, 50.03, 1.823, 24
1 1 13, 65.97, 1.416, 35

abc: 3.6462 3.0135 23.2247
angles: 90.00 90.00 90.00
Space group Amm2 (No. 38)
Unique sites:
Cd: 0.0000 0.0000 0.0000 x2
Cd: 0.0000 0.0000 0.2176 x2
Cd: 0.5000 0.0000 0.1092 x2
Cd: 0.5000 0.0000 0.4138 x2
Cd: 0.5000 0.0000 0.8021 x2
C: 0.0000 0.0000 0.5859 x2



Cd5C: simulated powder diffraction line list (Cu Kα X-rays), based on DFT lattice parameters and positions (GGA-PBE).
Peak positions follow from Bragg's law for the DFT cell and can differ from measured ones.

Top 10 peaks for 5° ≤ 2θ ≤ 70°, low angle first:
h k l, 2θ/deg, d [Å], I_rel
1 0 0, 29.08, 3.071, 4
1 0 1, 29.95, 2.984, 12
1 0 2, 32.43, 2.761, 55
0 0 5, 35.56, 2.524, 33
1 0 3, 36.22, 2.480, 100
1 0 4, 41.01, 2.201, 7
1 1 0, 41.59, 2.171, 53
1 1 5, 55.85, 1.646, 34
2 0 0, 60.28, 1.535, 17
1 0 8, 66.64, 1.403, 22

abc: 3.0706 3.0706 12.6223
angles: 90.00 90.00 90.00
Space group P4/mmm (No. 123)
Unique sites:
Cd: 0.0000 0.0000 0.0000 x1
Cd: 0.0000 0.0000 0.3828 x2
Cd: 0.5000 0.5000 0.1917 x2
C: 0.5000 0.5000 0.5000 x1



Ce6Cd3C: simulated powder diffraction line list (Cu Kα X-rays), based on DFT lattice parameters and positions (GGA-PBE).
Peak positions follow from Bragg's law for the DFT cell and can differ from measured ones.

Top 10 peaks for 5° ≤ 2θ ≤ 70°, low angle first:
h k l, 2θ/deg, d [Å], I_rel
3 0 0, 29.45, 3.033, 24
0 0 6, 33.80, 2.652, 21
0 3 3, 34.05, 2.633, 100
2 1 4, 34.45, 2.603, 2
3 0 6, 45.43, 1.996, 14
3 3 0, 52.24, 1.751, 20
0 3 9, 60.62, 1.527, 16
6 0 0, 61.10, 1.517, 3
3 3 6, 63.68, 1.461, 19
6 0 3, 63.84, 1.458, 15

abc: 10.5072 10.5072 15.9119
angles: 90.00 90.00 120.00
Space group R-3m (No. 166, hexagonal axes)
Unique sites:
Ce: 0.1101 0.2203 0.0940 x18
Ce: 0.1108 0.2217 0.4115 x18
Cd: 0.0940 0.5470 0.4132 x18
C: 0.0000 0.0000 0.0000 x3
C: 0.0000 0.0000 0.5000 x3